No. 1
Starting from DFT lattice parameters and positions (PBE), the powder diffractogram of Sm5ErTl6 was calculated for Cu Kα, 1.54184 Å.

Peak list (6 most intense, 10° ≤ 2θ ≤ 80°, by angle)
d/Å, 2theta, I (rel.)
2.734, 32.76, 51
2.713, 33.01, 100
1.577, 58.52, 10
1.574, 58.64, 20
1.571, 58.76, 10
1.563, 59.12, 19

Atomic structure:
a b c (Å): 5.463 7.618 8.637
angles (deg): 90.00 108.14 90.00
Atoms (fractional coordinates):
Sm: 0.000 0.000 0.000
Sm: 0.331 0.000 0.662
Sm: 0.334 0.500 0.667
Sm: 0.666 0.500 0.333
Sm: 0.669 0.000 0.338
Er: 0.000 0.500 0.000
Tl: 0.164 0.254 0.328
Tl: 0.164 0.746 0.328
Tl: 0.500 0.253 0.000
Tl: 0.500 0.747 0.000
Tl: 0.836 0.254 0.672
Tl: 0.836 0.746 0.672

=====

No. 2
Starting from DFT lattice parameters and positions (PBE), the powder diffractogram of Sm2ErTl was calculated for Cu Kα, 1.54184 Å.

Peak list (6 most intense, 10° ≤ 2θ ≤ 80°, by angle)
d/Å, 2theta, I (rel.)
3.910, 22.74, 1
2.765, 32.38, 100
1.955, 46.45, 19
1.596, 57.75, 39
1.382, 67.78, 12
1.237, 77.14, 17

Atomic structure:
a b c (Å): 5.530 5.530 5.530
angles (deg): 60.00 60.00 60.00
Atoms (fractional coordinates):
Sm: 0.250 0.250 0.250
Sm: 0.750 0.750 0.750
Er: 0.000 0.000 0.000
Tl: 0.500 0.500 0.500

=====

No. 3
Starting from DFT lattice parameters and positions (PBE), the powder diffractogram of Sm2Er5Tl was calculated for Cu Kα, 1.54184 Å.

Peak list (6 most intense, 10° ≤ 2θ ≤ 80°, by angle)
d/Å, 2theta, I (rel.)
2.853, 31.35, 100
2.474, 36.32, 34
2.466, 36.43, 17
1.747, 52.38, 30
1.491, 62.26, 28
1.488, 62.41, 14

Atomic structure:
a b c (Å): 6.989 14.009 4.933
angles (deg): 90.00 90.00 90.00
Atoms (fractional coordinates):
Sm: 0.245 0.129 0.000
Sm: 0.255 0.629 0.000
Sm: 0.745 0.371 0.000
Sm: 0.755 0.871 0.000
Er: 0.000 0.000 0.500
Er: 0.005 0.256 0.500
Er: 0.244 0.876 0.000
Er: 0.256 0.376 0.000
Er: 0.495 0.756 0.500
Er: 0.500 0.500 0.500
Er: 0.505 0.244 0.500
Er: 0.744 0.624 0.000
Er: 0.756 0.124 0.000
Er: 0.995 0.744 0.500
Tl: 0.000 0.500 0.500
Tl: 0.500 0.000 0.500

=====

No. 4
Starting from DFT lattice parameters and positions (PBE), the powder diffractogram of SmEr7Tl5 was calculated for Cu Kα, 1.54184 Å.

Peak list (6 most intense, 10° ≤ 2θ ≤ 80°, by angle)
d/Å, 2theta, I (rel.)
2.774, 32.27, 85
2.720, 32.93, 83
2.712, 33.03, 31
2.690, 33.31, 40
2.468, 36.41, 100
2.421, 37.13, 51

Atomic structure:
a b c (Å): 8.295 8.295 8.295
angles (deg): 134.12 98.34 99.13
Atoms (fractional coordinates):
Sm: 0.000 0.000 0.000
Er: 0.171 0.473 0.698
Er: 0.213 0.713 0.500
Er: 0.332 0.989 0.343
Er: 0.346 0.346 0.000
Er: 0.646 0.989 0.657
Er: 0.659 0.659 0.000
Er: 0.775 0.473 0.302
Tl: 0.468 0.479 0.490
Tl: 0.468 0.978 0.988
Tl: 0.752 0.252 0.500
Tl: 0.990 0.479 0.012
Tl: 0.990 0.978 0.510

=====

No. 5
Starting from DFT lattice parameters and positions (PBE), the powder diffractogram of Sm3Er8Tl was calculated for Cu Kα, 1.54184 Å.

Peak list (6 most intense, 10° ≤ 2θ ≤ 80°, by angle)
d/Å, 2theta, I (rel.)
3.643, 24.43, 64
3.045, 29.33, 78
2.808, 31.87, 66
2.680, 33.43, 61
2.450, 36.67, 100
2.011, 45.08, 63

Atomic structure:
a b c (Å): 8.283 8.283 8.283
angles (deg): 117.36 117.36 94.64
Atoms (fractional coordinates):
Sm: 0.000 0.000 0.000
Sm: 0.250 0.750 0.500
Sm: 0.750 0.250 0.500
Er: 0.117 0.371 0.000
Er: 0.231 0.736 0.000
Er: 0.264 0.264 0.495
Er: 0.371 0.117 0.000
Er: 0.629 0.629 0.746
Er: 0.736 0.231 0.000
Er: 0.769 0.769 0.505
Er: 0.883 0.883 0.254
Tl: 0.500 0.500 0.000

=====

No. 6
Starting from DFT lattice parameters and positions (PBE), the powder diffractogram of SmEr2TmTl4 was calculated for Cu Kα, 1.54184 Å.

Peak list (6 most intense, 10° ≤ 2θ ≤ 80°, by angle)
d/Å, 2theta, I (rel.)
2.682, 33.41, 100
1.897, 47.97, 18
1.552, 59.56, 10
1.547, 59.76, 29
1.339, 70.29, 6
1.201, 79.91, 8

Atomic structure:
a b c (Å): 9.313 9.313 9.313
angles (deg): 33.43 33.43 33.43
Atoms (fractional coordinates):
Sm: 0.000 0.000 0.000
Er: 0.249 0.249 0.249
Er: 0.751 0.751 0.751
Tm: 0.500 0.500 0.500
Tl: 0.126 0.126 0.126
Tl: 0.376 0.376 0.376
Tl: 0.624 0.624 0.624
Tl: 0.874 0.874 0.874

=====

No. 7
Starting from DFT lattice parameters and positions (PBE), the powder diffractogram of Sm2Er2Tm3 was calculated for Cu Kα, 1.54184 Å.

Peak list (6 most intense, 10° ≤ 2θ ≤ 80°, by angle)
d/Å, 2theta, I (rel.)
2.922, 30.59, 93
2.884, 31.01, 90
2.856, 31.32, 85
2.689, 33.33, 100
2.430, 37.00, 55
1.490, 62.32, 29

Atomic structure:
a b c (Å): 8.445 8.445 8.615
angles (deg): 115.58 115.58 23.79
Atoms (fractional coordinates):
Sm: 0.080 0.080 0.201
Sm: 0.920 0.920 0.799
Er: 0.361 0.361 0.093
Er: 0.639 0.639 0.907
Tm: 0.000 0.000 0.500
Tm: 0.221 0.221 0.647
Tm: 0.779 0.779 0.353

=====

No. 8
Starting from DFT lattice parameters and positions (PBE), the powder diffractogram of Sm8Er4Tm was calculated for Cu Kα, 1.54184 Å.

Peak list (6 most intense, 10° ≤ 2θ ≤ 80°, by angle)
d/Å, 2theta, I (rel.)
3.170, 28.15, 25
2.864, 31.23, 100
2.742, 32.66, 34
2.352, 38.28, 38
1.805, 50.56, 30
1.569, 58.87, 19

Atomic structure:
a b c (Å): 10.383 10.383 10.383
angles (deg): 40.70 40.70 40.70
Atoms (fractional coordinates):
Sm: 0.207 0.751 0.751
Sm: 0.213 0.213 0.213
Sm: 0.249 0.249 0.793
Sm: 0.249 0.793 0.249
Sm: 0.751 0.207 0.751
Sm: 0.751 0.751 0.207
Sm: 0.787 0.787 0.787
Sm: 0.793 0.249 0.249
Er: 0.000 0.000 0.000
Er: 0.000 0.500 0.500
Er: 0.500 0.000 0.500
Er: 0.500 0.500 0.000
Tm: 0.500 0.500 0.500

=====

No. 9
Starting from DFT lattice parameters and positions (PBE), the powder diffractogram of Sm5ErTm3 was calculated for Cu Kα, 1.54184 Å.

Peak list (6 most intense, 10° ≤ 2θ ≤ 80°, by angle)
d/Å, 2theta, I (rel.)
2.882, 31.03, 40
2.871, 31.15, 100
2.842, 31.48, 59
2.709, 33.07, 13
2.696, 33.23, 12
2.515, 35.69, 21

Atomic structure:
a b c (Å): 8.822 8.822 11.487
angles (deg): 108.71 108.71 44.55
Atoms (fractional coordinates):
Sm: 0.108 0.114 0.552
Sm: 0.114 0.108 0.052
Sm: 0.189 0.811 0.750
Sm: 0.244 0.414 0.656
Sm: 0.414 0.244 0.156
Sm: 0.586 0.756 0.844
Sm: 0.756 0.586 0.344
Sm: 0.811 0.189 0.250
Sm: 0.886 0.892 0.948
Sm: 0.892 0.886 0.448
Er: 0.261 0.739 0.250
Er: 0.739 0.261 0.750
Tm: 0.143 0.334 0.873
Tm: 0.334 0.143 0.373
Tm: 0.500 0.500 0.000
Tm: 0.500 0.500 0.500
Tm: 0.666 0.857 0.627
Tm: 0.857 0.666 0.127

=====

No. 10
Starting from DFT lattice parameters and positions (PBE), the powder diffractogram of Sm8Er5Tm was calculated for Cu Kα, 1.54184 Å.

Peak list (6 most intense, 10° ≤ 2θ ≤ 80°, by angle)
d/Å, 2theta, I (rel.)
3.196, 27.91, 62
3.058, 29.21, 71
3.042, 29.36, 78
2.662, 33.67, 100
2.610, 34.36, 47
2.580, 34.77, 53

Atomic structure:
a b c (Å): 8.491 8.491 8.491
angles (deg): 111.00 111.00 106.45
Atoms (fractional coordinates):
Sm: 0.079 0.337 0.605
Sm: 0.164 0.430 0.087
Sm: 0.343 0.077 0.913
Sm: 0.525 0.921 0.258
Sm: 0.570 0.657 0.734
Sm: 0.663 0.268 0.742
Sm: 0.732 0.475 0.395
Sm: 0.923 0.836 0.266
Er: 0.034 0.720 0.903
Er: 0.280 0.183 0.314
Er: 0.500 0.500 0.000
Er: 0.817 0.131 0.097
Er: 0.869 0.966 0.686
Tm: 0.250 0.750 0.500

=====

No. 11
Starting from DFT lattice parameters and positions (PBE), the powder diffractogram of Sm2ErTm4 was calculated for Cu Kα, 1.54184 Å.

Peak list (6 most intense, 10° ≤ 2θ ≤ 80°, by angle)
d/Å, 2theta, I (rel.)
2.984, 29.94, 55
2.867, 31.20, 30
2.857, 31.31, 100
2.661, 33.68, 78
1.585, 58.19, 22
1.570, 58.83, 22

Atomic structure:
a b c (Å): 6.541 6.541 19.340
angles (deg): 90.00 90.00 147.21
Atoms (fractional coordinates):
Sm: 0.111 0.889 0.831
Sm: 0.389 0.611 0.331
Sm: 0.611 0.389 0.669
Sm: 0.889 0.111 0.169
Er: 0.000 0.000 0.500
Er: 0.500 0.500 0.000
Tm: 0.107 0.893 0.322
Tm: 0.231 0.769 0.066
Tm: 0.269 0.731 0.566
Tm: 0.393 0.607 0.822
Tm: 0.607 0.393 0.178
Tm: 0.731 0.269 0.434
Tm: 0.769 0.231 0.934
Tm: 0.893 0.107 0.678

=====

No. 12
Starting from DFT lattice parameters and positions (PBE), the powder diffractogram of Sm2Er5Tm2 was calculated for Cu Kα, 1.54184 Å.

Peak list (6 most intense, 10° ≤ 2θ ≤ 80°, by angle)
d/Å, 2theta, I (rel.)
3.118, 28.63, 77
2.918, 30.64, 88
2.893, 30.91, 68
2.870, 31.16, 52
2.691, 33.29, 100
2.488, 36.10, 51

Atomic structure:
a b c (Å): 9.998 9.998 9.998
angles (deg): 84.47 108.57 141.08
Atoms (fractional coordinates):
Sm: 0.000 0.000 0.000
Sm: 0.000 0.500 0.500
Sm: 0.885 0.647 0.738
Sm: 0.909 0.147 0.262
Er: 0.040 0.351 0.795
Er: 0.040 0.745 0.189
Er: 0.348 0.253 0.380
Er: 0.348 0.468 0.595
Er: 0.355 0.856 0.998
Er: 0.556 0.245 0.205
Er: 0.556 0.851 0.811
Er: 0.858 0.356 0.002
Er: 0.873 0.753 0.405
Er: 0.873 0.968 0.620
Tm: 0.441 0.575 0.121
Tm: 0.441 0.821 0.367
Tm: 0.454 0.075 0.633
Tm: 0.454 0.321 0.879